# YMgSbPb2O6
Simulated X-ray diffraction stick pattern, Cu Ka. Input: a PBE-relaxed structure.
Lines closer than 0.1° are merged.

Cell and atoms:
Unit cell a=6.275 b=6.275 c=5.963 alpha=105.27 beta=105.27 gamma=61.54
Atoms (fractional coordinates):
Y (0.000, 0.000, 0.000)
Mg (0.081, 0.081, 0.523)
Sb (0.601, 0.601, 0.636)
Pb (0.331, 0.331, 0.091)
Pb (0.768, 0.768, 0.287)
O (0.142, 0.738, 0.277)
O (0.189, 0.189, 0.302)
O (0.319, 0.869, 0.801)
O (0.738, 0.142, 0.277)
O (0.798, 0.798, 0.718)
O (0.869, 0.319, 0.801)

Main lines, by intensity (2θ from 10° to 90°):
| 2θ (°) | I (rel.) |
| --- | --- |
| 29.53 | 100 |
| 27.79 | 72 |
| 33.14 | 66 |
| 26.75 | 65 |
| 38.96 | 49 |
| 24.43 | 41 |
| 15.61 | 40 |
| 37.15 | 28 |
| 19.44 | 27 |
| 50.25 | 27 |


# Cs2KRb
Simulated X-ray diffraction stick pattern, Cu Ka. Input: a PBE-relaxed structure.
Lines closer than 0.1° are merged.

Cell and atoms:
Unit cell a=8.218 b=8.218 c=8.218 alpha=60.00 beta=60.00 gamma=60.00
Atoms (fractional coordinates):
Cs (0.250, 0.250, 0.250)
Cs (0.750, 0.750, 0.750)
K (0.000, 0.000, 0.000)
Rb (0.500, 0.500, 0.500)

Main lines, by intensity (2θ from 10° to 90°):
| 2θ (°) | I (rel.) |
| --- | --- |
| 21.63 | 100 |
| 37.93 | 46 |
| 59.52 | 24 |
| 49.61 | 21 |
| 30.77 | 20 |
| 44.08 | 15 |
| 85.13 | 13 |
| 15.25 | 12 |
| 68.50 | 12 |
| 34.51 | 7 |


# Tl3FeCl5
Simulated X-ray diffraction stick pattern, Cu Ka. Input: a PBE-relaxed structure.
Lines closer than 0.1° are merged.

Cell and atoms:
Unit cell a=9.596 b=9.596 c=9.596 alpha=127.19 beta=127.19 gamma=77.93
Atoms (fractional coordinates):
Tl (0.165, 0.665, 0.829)
Tl (0.250, 0.250, 0.000)
Tl (0.335, 0.165, 0.500)
Tl (0.665, 0.835, 0.500)
Tl (0.750, 0.750, 0.000)
Tl (0.835, 0.335, 0.171)
Fe (0.250, 0.750, 0.500)
Fe (0.750, 0.250, 0.500)
Cl (0.000, 0.000, 0.000)
Cl (0.006, 0.804, 0.500)
Cl (0.196, 0.696, 0.202)
Cl (0.304, 0.506, 0.500)
Cl (0.494, 0.994, 0.798)
Cl (0.500, 0.500, 0.000)
Cl (0.506, 0.006, 0.202)
Cl (0.696, 0.494, 0.500)
Cl (0.804, 0.304, 0.798)
Cl (0.994, 0.196, 0.500)

Main lines, by intensity (2θ from 10° to 90°):
| 2θ (°) | I (rel.) |
| --- | --- |
| 24.04 | 100 |
| 29.50 | 77 |
| 33.20 | 35 |
| 38.32 | 34 |
| 23.85 | 33 |
| 47.61 | 26 |
| 44.16 | 22 |
| 18.91 | 22 |
| 41.29 | 19 |
| 53.95 | 18 |


# Bi3As
Simulated X-ray diffraction stick pattern, Cu Ka. Input: a PBE-relaxed structure.
Lines closer than 0.1° are merged.

Cell and atoms:
Unit cell a=6.936 b=6.936 c=5.477 alpha=90.00 beta=90.00 gamma=120.00
Atoms (fractional coordinates):
Bi (0.178, 0.356, 0.250)
Bi (0.178, 0.822, 0.250)
Bi (0.356, 0.178, 0.750)
Bi (0.644, 0.822, 0.250)
Bi (0.822, 0.178, 0.750)
Bi (0.822, 0.644, 0.750)
As (0.333, 0.667, 0.750)
As (0.667, 0.333, 0.250)

Main lines, by intensity (2θ from 10° to 90°):
| 2θ (°) | I (rel.) |
| --- | --- |
| 34.05 | 100 |
| 32.70 | 26 |
| 29.75 | 24 |
| 63.50 | 21 |
| 59.23 | 21 |
| 52.80 | 18 |
| 21.96 | 16 |
| 44.79 | 16 |
| 64.33 | 15 |
| 87.83 | 12 |


# PrPbO3
Simulated X-ray diffraction stick pattern, Cu Ka. Input: a PBE-relaxed structure.
Lines closer than 0.1° are merged.

Cell and atoms:
Unit cell a=4.537 b=4.537 c=4.537 alpha=90.00 beta=90.00 gamma=90.00
Atoms (fractional coordinates):
Pr (0.000, 0.000, 0.000)
Pb (0.500, 0.500, 0.500)
O (0.000, 0.000, 0.500)
O (0.000, 0.500, 0.000)
O (0.500, 0.000, 0.000)

Main lines, by intensity (2θ from 10° to 90°):
| 2θ (°) | I (rel.) |
| --- | --- |
| 27.81 | 100 |
| 49.19 | 44 |
| 39.73 | 28 |
| 78.95 | 23 |
| 65.00 | 19 |
| 57.45 | 19 |
| 72.11 | 6 |
| 34.23 | 5 |
| 85.63 | 3 |
| 19.56 | 2 |


# Ta2TiW
Simulated X-ray diffraction stick pattern, Cu Ka. Input: a PBE-relaxed structure.
Lines closer than 0.1° are merged.

Cell and atoms:
Unit cell a=4.606 b=4.606 c=4.606 alpha=60.00 beta=60.00 gamma=60.00
Atoms (fractional coordinates):
Ta (0.250, 0.250, 0.250)
Ta (0.750, 0.750, 0.750)
Ti (0.000, 0.000, 0.000)
W (0.500, 0.500, 0.500)

Main lines, by intensity (2θ from 10° to 90°):
| 2θ (°) | I (rel.) |
| --- | --- |
| 39.12 | 100 |
| 70.88 | 35 |
| 56.51 | 17 |
| 23.66 | 12 |
| 84.06 | 11 |
| 46.22 | 7 |
| 27.38 | 6 |
| 62.11 | 3 |
| 63.92 | 2 |
| 88.89 | 2 |